Computed powder X-ray diffraction pattern of KRb2Pa3Te8 for Cu Ka, from the PBE geometry in Alexandria.
Kinematic intensities with the Lorentz-polarization factor, no thermal factor.

Atomic structure:
Cell: 9.1350 9.1350 26.7233 Å, 90.00 90.00 120.00°
Space group R3m (No. 160, hexagonal axes)
Unique sites:
K1 0.0000 0.0000 0.0000 x3
Rb1 0.0000 0.0000 0.3647 x3
Rb2 0.0000 0.0000 0.7260 x3
Pa1 0.0014 0.5007 0.8646 x9
Te1 0.0000 0.0000 0.1333 x3
Te2 0.0000 0.0000 0.5936 x3
Te3 0.0253 0.5127 0.1366 x9
Te4 0.1781 0.3563 0.9267 x9

Largest 10 diffraction maxima, low angle first, 2θ from 10° to 80°:
11.7 deg, I 25.8, (1 0 1)
21.9 deg, I 25.7, (1 1 3)
22.7 deg, I 18.7, (0 2 1)
26.2 deg, I 100.0, (0 2 4)
32.6 deg, I 58.1, (0 2 7)
35.2 deg, I 38.1, (2 0 8)
39.5 deg, I 51.8, (2 2 0)
40.8 deg, I 23.3, (2 2 3)
43.7 deg, I 23.9, (2 0 11)
48.0 deg, I 18.6, (4 0 4)

***

Computed powder X-ray diffraction pattern of NpPaPd6 for Cu Ka, from the PBE geometry in Alexandria.
Kinematic intensities with the Lorentz-polarization factor, no thermal factor.

Atomic structure:
Cell: 5.7687 5.7687 4.9780 Å, 90.00 90.00 120.00°
Space group P-6m2 (No. 187)
Unique sites:
Np1 0.0000 0.0000 0.0000 x1
Pa1 0.3333 0.6667 0.5000 x1
Pd1 0.3419 0.1709 0.5000 x3
Pd2 0.5020 0.0040 0.0000 x3

Largest 10 diffraction maxima, low angle first, 2θ from 10° to 80°:
25.3 deg, I 16.5, (1 0 1)
31.0 deg, I 6.3, (1 1 0)
36.0 deg, I 22.7, (2 0 0)
36.1 deg, I 30.1, (0 0 2)
40.4 deg, I 100.0, (2 0 1)
51.8 deg, I 20.1, (2 0 2)
64.6 deg, I 16.4, (2 2 0)
67.8 deg, I 21.3, (2 0 3)
76.3 deg, I 22.8, (2 2 2)
79.0 deg, I 14.2, (4 0 1)

***

Computed powder X-ray diffraction pattern of ZnGaMo for Cu Ka, from the PBE geometry in Alexandria.
Kinematic intensities with the Lorentz-polarization factor, no thermal factor.

Atomic structure:
Cell: 4.4051 4.5753 9.1009 Å, 90.00 90.00 90.00°
Space group Ama2 (No. 40)
Unique sites:
Zn1 0.2500 0.1628 0.0000 x4
Ga1 0.2500 0.1698 0.3388 x4
Mo1 0.2500 0.1605 0.6671 x4

Largest 10 diffraction maxima, low angle first, 2θ from 10° to 80°:
35.5 deg, I 27.4, (0 1 3)
41.0 deg, I 34.6, (2 0 0)
41.2 deg, I 100.0, (1 1 3)
44.6 deg, I 41.7, (1 2 0)
55.3 deg, I 14.6, (2 1 3)
61.1 deg, I 10.8, (0 0 6)
68.9 deg, I 13.8, (0 3 3)
74.8 deg, I 16.1, (3 1 3)
76.2 deg, I 10.5, (2 0 6)
78.8 deg, I 14.7, (1 2 6)

***

Computed powder X-ray diffraction pattern of Y5Ho3Sc for Cu Ka, from the PBE geometry in Alexandria.
Kinematic intensities with the Lorentz-polarization factor, no thermal factor.

Atomic structure:
Cell: 8.5162 8.5162 15.5852 Å, 90.00 90.00 90.00°
Space group I4/mcm (No. 140)
Unique sites:
Y1 0.0000 0.0000 0.0000 x4
Y2 0.2039 0.2961 0.1403 x16
Ho1 0.0000 0.0000 0.2500 x4
Ho2 0.1192 0.3808 0.5000 x8
Sc1 0.0000 0.5000 0.2500 x4

Largest 10 diffraction maxima, low angle first, 2θ from 10° to 80°:
18.6 deg, I 34.9, (1 1 2)
29.1 deg, I 98.8, (2 1 3)
29.7 deg, I 47.9, (2 2 0)
31.1 deg, I 100.0, (2 0 4)
33.3 deg, I 43.7, (3 1 0)
37.3 deg, I 26.0, (2 1 5)
38.6 deg, I 34.2, (3 2 1)
40.7 deg, I 30.2, (3 1 4)
44.1 deg, I 22.8, (4 0 2)
60.3 deg, I 24.2, (5 1 4)

***

Computed powder X-ray diffraction pattern of KZn2In10 for Cu Ka, from the PBE geometry in Alexandria.
Kinematic intensities with the Lorentz-polarization factor, no thermal factor.

Atomic structure:
Cell: 6.0748 15.0833 15.2500 Å, 90.00 90.00 90.00°
Space group Fmmm (No. 69)
Unique sites:
K1 0.0000 0.0000 0.0000 x4
Zn1 0.2500 0.0000 0.2500 x8
In1 0.0000 0.1029 0.3858 x16
In2 0.0000 0.1714 0.1829 x16
In3 0.2500 0.2500 0.0000 x8

Largest 10 diffraction maxima, low angle first, 2θ from 10° to 80°:
29.0 deg, I 34.1, (1 3 3)
33.4 deg, I 100.0, (0 4 4)
33.7 deg, I 38.6, (1 5 1)
33.9 deg, I 53.5, (2 2 2)
37.3 deg, I 20.0, (0 2 6)
37.5 deg, I 28.8, (1 3 5)
37.7 deg, I 52.3, (0 6 2)
37.9 deg, I 37.9, (2 0 4)
38.0 deg, I 44.7, (2 4 0)
60.1 deg, I 35.8, (2 6 6)

***

Computed powder X-ray diffraction pattern of SiAgMo for Cu Ka, from the PBE geometry in Alexandria.
Kinematic intensities with the Lorentz-polarization factor, no thermal factor.

Atomic structure:
Cell: 2.7885 3.3816 10.1352 Å, 90.00 90.00 90.00°
Space group Imm2 (No. 44)
Unique sites:
Si1 0.0000 0.0000 0.0000 x2
Ag1 0.0000 0.0000 0.3283 x2
Mo1 0.0000 0.0000 0.6297 x2

Largest 10 diffraction maxima, low angle first, 2θ from 10° to 80°:
27.8 deg, I 26.1, (0 1 1)
33.3 deg, I 16.3, (1 0 1)
35.4 deg, I 15.8, (0 0 4)
37.6 deg, I 65.6, (0 1 3)
42.0 deg, I 100.0, (1 1 0)
54.3 deg, I 19.9, (0 2 0)
56.1 deg, I 16.1, (1 1 4)
67.1 deg, I 6.2, (2 0 0)
70.9 deg, I 33.2, (1 2 3)
79.6 deg, I 14.0, (2 1 3)

***

Computed powder X-ray diffraction pattern of Ca2BiSbPd6 for Cu Ka, from the PBE geometry in Alexandria.
Kinematic intensities with the Lorentz-polarization factor, no thermal factor.

Atomic structure:
Cell: 5.6011 6.6443 6.7759 Å, 72.81 65.67 65.19°
Space group P-1 (No. 2)
Unique sites:
Ca1 0.0042 0.2457 0.2465 x2
Bi1 0.5000 0.5000 0.0000 x1
Sb1 0.5000 0.0000 0.5000 x1
Pd1 0.0082 0.1816 0.8052 x2
Pd2 0.3089 0.4405 0.4445 x2
Pd3 0.4946 0.8194 0.1943 x2

Largest 10 diffraction maxima, low angle first, 2θ from 10° to 80°:
18.5 deg, I 100.0, (1 0 0)
34.9 deg, I 48.6, (0 1 -2)
35.4 deg, I 71.0, (0 2 -1)
37.5 deg, I 41.7, (2 0 0)
37.6 deg, I 39.4, (2 2 2)
39.0 deg, I 58.0, (0 2 2)
40.0 deg, I 52.5, (1 0 -2)
40.8 deg, I 49.5, (1 -2 0)
43.9 deg, I 61.2, (2 1 3)
44.4 deg, I 50.3, (2 3 1)

***

Computed powder X-ray diffraction pattern of PrDyHo5Th2 for Cu Ka, from the PBE geometry in Alexandria.
Kinematic intensities with the Lorentz-polarization factor, no thermal factor.

Atomic structure:
Cell: 8.7424 8.7424 15.5089 Å, 90.00 90.00 90.00°
Space group I4/mcm (No. 140)
Unique sites:
Pr1 0.0000 0.5000 0.2500 x4
Dy1 0.0000 0.0000 0.2500 x4
Ho1 0.0000 0.0000 0.0000 x4
Ho2 0.2081 0.2919 0.1391 x16
Th1 0.1194 0.3806 0.5000 x8

Largest 10 diffraction maxima, low angle first, 2θ from 10° to 80°:
28.6 deg, I 76.7, (2 1 3)
28.9 deg, I 51.3, (2 2 0)
30.8 deg, I 100.0, (2 0 4)
32.4 deg, I 21.5, (3 1 0)
34.4 deg, I 15.4, (3 1 2)
37.0 deg, I 19.7, (2 1 5)
37.5 deg, I 27.6, (3 2 1)
43.0 deg, I 27.7, (4 0 2)
46.9 deg, I 15.0, (0 0 8)
52.4 deg, I 20.9, (4 2 4)